Structure and simulated PXRD pattern of LaV2IO9 (a PBE+U-relaxed structure; λ = 1.5418 Å (Cu Kα)).
Lines closer than 0.1° are merged.

Largest 8 diffraction maxima, in order of falling intensity, 2θ = 5–70°:
(1 3 0), d 4.067, 2θ = 21.85°, I 100
(1 3 2), d 2.734, 2θ = 32.75°, I 75
(0 0 2), d 3.697, 2θ = 24.07°, I 74
(2 1 1), d 3.148, 2θ = 28.35°, I 55
(0 2 2), d 3.304, 2θ = 26.99°, I 41
(2 1 3), d 2.009, 2θ = 45.14°, I 34
(1 5 2), d 2.200, 2θ = 41.03°, I 33
(3 4 1), d 1.937, 2θ = 46.92°, I 31

Cell and atoms:
a b c (Å): 7.1614 14.8236 7.3816
angles (deg): 90.00 90.00 90.00
Space group Pbcm (No. 57)
One atom of each set of equivalent atoms:
La (0.1530, 0.0476, 0.2500) [4 per cell]
V (0.1798, 0.7301, 0.7500) [4 per cell]
V (0.4692, 0.2500, 0.0000) [4 per cell]
I (0.2956, 0.0578, 0.7500) [4 per cell]
O (0.0108, 0.6917, 0.2500) [4 per cell]
O (0.0810, 0.6274, 0.7500) [4 per cell]
O (0.1739, 0.5076, 0.0718) [8 per cell]
O (0.2576, 0.7500, 0.0000) [4 per cell]
O (0.3357, 0.1579, 0.0400) [8 per cell]
O (0.4646, 0.7237, 0.7500) [4 per cell]
O (0.4768, 0.5044, 0.7500) [4 per cell]